# 1
Calculated powder diffraction line list of LiMgAlH6 for CuKα, from DFT lattice parameters and positions (PBE).
Intensities are scaled so that the largest is 100.

```
data_LiMgAlH6
_chemical_formula_sum 'Li3 Mg3 Al3 H18'
_cell_length_a 8.0005
_cell_length_b 8.0005
_cell_length_c 4.3738
_cell_angle_alpha 90.00
_cell_angle_beta 90.00
_cell_angle_gamma 120.00
_symmetry_space_group_name_H-M 'P 1'
_symmetry_Int_Tables_number 1
_symmetry_space_group_name_Hall 'P 1'
loop_
_atom_site_label
_atom_site_type_symbol
_atom_site_fract_x
_atom_site_fract_y
_atom_site_fract_z
_atom_site_occupancy
Li1 Li 0.0000 0.7042 0.0000 1
Li2 Li 0.2958 0.2958 0.0000 1
Li3 Li 0.7042 0.0000 0.0000 1
Mg1 Mg 0.0000 0.3633 0.5000 1
Mg2 Mg 0.3633 0.0000 0.5000 1
Mg3 Mg 0.6367 0.6367 0.5000 1
Al1 Al 0.0000 0.0000 0.5000 1
Al2 Al 0.3333 0.6667 0.9968 1
Al3 Al 0.6667 0.3333 0.0032 1
H1 H 0.0943 0.2092 0.7207 1
H2 H 0.1149 0.9057 0.7207 1
H3 H 0.1260 0.5815 0.7706 1
H4 H 0.2092 0.0943 0.2793 1
H5 H 0.2226 0.4587 0.2236 1
H6 H 0.2361 0.7774 0.2236 1
H7 H 0.4185 0.5446 0.7706 1
H8 H 0.4554 0.8740 0.7706 1
H9 H 0.4587 0.2226 0.7764 1
H10 H 0.5413 0.7639 0.2236 1
H11 H 0.5446 0.4185 0.2294 1
H12 H 0.5815 0.1260 0.2294 1
H13 H 0.7639 0.5413 0.7764 1
H14 H 0.7774 0.2361 0.7764 1
H15 H 0.7908 0.8851 0.7207 1
H16 H 0.8740 0.4554 0.2294 1
H17 H 0.8851 0.7908 0.2793 1
H18 H 0.9057 0.1149 0.2793 1
```

Largest 10 diffraction maxima, low angle first, 15° ≤ 2θ ≤ 90°:
d = 4.000 Å, 22.22°, I = 52, (1 1 0); d = 3.699 Å, 24.06°, I = 43, (0 1 1); d = 2.952 Å, 30.28°, I = 100, (1 1 1); d = 2.716 Å, 32.98°, I = 49, (2 0 1); d = 2.310 Å, 39.00°, I = 61, (3 0 0); d = 2.247 Å, 40.13°, I = 33, (1 2 1); d = 2.187 Å, 41.28°, I = 17, (0 0 2); d = 1.819 Å, 50.15°, I = 19, (2 2 1); d = 1.588 Å, 58.09°, I = 48, (3 0 2); d = 1.494 Å, 62.13°, I = 20, (2 3 1)

# 2
Calculated powder diffraction line list of Ca6Si6O19 for CuKα, from DFT lattice parameters and positions (PBE).
Intensities are scaled so that the largest is 100.

```
data_Ca6Si6O19
_chemical_formula_sum 'Ca6 Si6 O19'
_cell_length_a 7.4104
_cell_length_b 7.9339
_cell_length_c 8.8958
_cell_angle_alpha 84.06
_cell_angle_beta 77.98
_cell_angle_gamma 62.18
_symmetry_space_group_name_H-M 'P 1'
_symmetry_Int_Tables_number 1
_symmetry_space_group_name_Hall 'P 1'
loop_
_atom_site_label
_atom_site_type_symbol
_atom_site_fract_x
_atom_site_fract_y
_atom_site_fract_z
_atom_site_occupancy
Ca1 Ca 0.1700 0.3370 0.1299 1
Ca2 Ca 0.2457 0.5082 0.4953 1
Ca3 Ca 0.3193 0.6643 0.8651 1
Ca4 Ca 0.6807 0.3357 0.1349 1
Ca5 Ca 0.7543 0.4918 0.5047 1
Ca6 Ca 0.8300 0.6630 0.8701 1
Si1 Si 0.0223 0.2291 0.7850 1
Si2 Si 0.4102 0.7626 0.2084 1
Si3 Si 0.4798 0.9430 0.6810 1
Si4 Si 0.5202 0.0570 0.3190 1
Si5 Si 0.5898 0.2374 0.7916 1
Si6 Si 0.9777 0.7709 0.2150 1
O1 O 0.0226 0.6746 0.0488 1
O2 O 0.0297 0.3784 0.6480 1
O3 O 0.0906 0.7087 0.7047 1
O4 O 0.1607 0.8324 0.2188 1
O5 O 0.2349 0.0187 0.7655 1
O6 O 0.4071 0.2838 0.2945 1
O7 O 0.4168 0.9667 0.2247 1
O8 O 0.4649 0.3347 0.9585 1
O9 O 0.4995 0.6074 0.3424 1
O10 O 0.5000 0.0000 0.5000 1
O11 O 0.5005 0.3926 0.6576 1
O12 O 0.5351 0.6653 0.0415 1
O13 O 0.5832 0.0333 0.7753 1
O14 O 0.5929 0.7163 0.7055 1
O15 O 0.7651 0.9813 0.2345 1
O16 O 0.8393 0.1676 0.7812 1
O17 O 0.9094 0.2913 0.2953 1
O18 O 0.9703 0.6216 0.3520 1
O19 O 0.9774 0.3254 0.9512 1
```

Largest 10 diffraction maxima, low angle first, 15° ≤ 2θ ≤ 90°:
d = 4.350 Å, 20.41°, I = 33, (0 0 2); d = 3.709 Å, 23.99°, I = 31, (0 1 2); d = 3.246 Å, 27.48°, I = 49, (0 2 -1); d = 3.122 Å, 28.59°, I = 100, (2 1 -1); d = 2.849 Å, 31.39°, I = 27, (2 0 2); d = 2.848 Å, 31.41°, I = 25, (2 2 -1); d = 2.741 Å, 32.67°, I = 39, (0 2 2); d = 2.051 Å, 44.17°, I = 30, (2 -1 3); d = 1.984 Å, 45.74°, I = 45, (2 2 4); d = 1.853 Å, 49.18°, I = 29, (4 2 1)

Repeat the second record exactly.
Calculated powder diffraction line list of Ca6Si6O19 for CuKα, from DFT lattice parameters and positions (PBE).
Intensities are scaled so that the largest is 100.

```
data_Ca6Si6O19
_chemical_formula_sum 'Ca6 Si6 O19'
_cell_length_a 7.4104
_cell_length_b 7.9339
_cell_length_c 8.8958
_cell_angle_alpha 84.06
_cell_angle_beta 77.98
_cell_angle_gamma 62.18
_symmetry_space_group_name_H-M 'P 1'
_symmetry_Int_Tables_number 1
_symmetry_space_group_name_Hall 'P 1'
loop_
_atom_site_label
_atom_site_type_symbol
_atom_site_fract_x
_atom_site_fract_y
_atom_site_fract_z
_atom_site_occupancy
Ca1 Ca 0.1700 0.3370 0.1299 1
Ca2 Ca 0.2457 0.5082 0.4953 1
Ca3 Ca 0.3193 0.6643 0.8651 1
Ca4 Ca 0.6807 0.3357 0.1349 1
Ca5 Ca 0.7543 0.4918 0.5047 1
Ca6 Ca 0.8300 0.6630 0.8701 1
Si1 Si 0.0223 0.2291 0.7850 1
Si2 Si 0.4102 0.7626 0.2084 1
Si3 Si 0.4798 0.9430 0.6810 1
Si4 Si 0.5202 0.0570 0.3190 1
Si5 Si 0.5898 0.2374 0.7916 1
Si6 Si 0.9777 0.7709 0.2150 1
O1 O 0.0226 0.6746 0.0488 1
O2 O 0.0297 0.3784 0.6480 1
O3 O 0.0906 0.7087 0.7047 1
O4 O 0.1607 0.8324 0.2188 1
O5 O 0.2349 0.0187 0.7655 1
O6 O 0.4071 0.2838 0.2945 1
O7 O 0.4168 0.9667 0.2247 1
O8 O 0.4649 0.3347 0.9585 1
O9 O 0.4995 0.6074 0.3424 1
O10 O 0.5000 0.0000 0.5000 1
O11 O 0.5005 0.3926 0.6576 1
O12 O 0.5351 0.6653 0.0415 1
O13 O 0.5832 0.0333 0.7753 1
O14 O 0.5929 0.7163 0.7055 1
O15 O 0.7651 0.9813 0.2345 1
O16 O 0.8393 0.1676 0.7812 1
O17 O 0.9094 0.2913 0.2953 1
O18 O 0.9703 0.6216 0.3520 1
O19 O 0.9774 0.3254 0.9512 1
```

Largest 10 diffraction maxima, low angle first, 15° ≤ 2θ ≤ 90°:
d = 4.350 Å, 20.41°, I = 33, (0 0 2); d = 3.709 Å, 23.99°, I = 31, (0 1 2); d = 3.246 Å, 27.48°, I = 49, (0 2 -1); d = 3.122 Å, 28.59°, I = 100, (2 1 -1); d = 2.849 Å, 31.39°, I = 27, (2 0 2); d = 2.848 Å, 31.41°, I = 25, (2 2 -1); d = 2.741 Å, 32.67°, I = 39, (0 2 2); d = 2.051 Å, 44.17°, I = 30, (2 -1 3); d = 1.984 Å, 45.74°, I = 45, (2 2 4); d = 1.853 Å, 49.18°, I = 29, (4 2 1)

- Which formula does entry 1 have?
  LiMgAlH6